This entry pairs a crystal structure of La2Sn3Au5 with its computed powder diffraction line list. Radiation: Cu Kα. Structure: a crystal structure in Alexandria, relaxed with GGA-PBE.

Cell and atoms:
Cell lengths 13.0721, 12.9679, 6.6743 Å; angles 90.00, 120.45, 90.00 degrees
Space group C2/c (No. 15)
Asymmetric unit:
La: 0.2351 0.1288 0.2450 x8
Sn: 0.0000 0.4922 0.7500 x4
Sn: 0.1229 0.1318 0.6493 x8
Au: 0.0000 0.0128 0.2500 x4
Au: 0.0000 0.2491 0.2500 x4
Au: 0.0000 0.2739 0.7500 x4
Au: 0.1459 0.3837 0.1740 x8

Principal peaks in the range 2θ = 10–90°, low angle first:
2θ/deg	d [Å]	I (rel.)	hkl
15.73	5.634	22	2 0 0
30.62	2.920	60	4 2 -1
31.09	2.877	64	0 0 2
31.21	2.866	28	4 0 -2
31.85	2.810	76	2 4 0
38.72	2.325	100	2 4 -2
42.07	2.148	30	6 0 -2
42.51	2.126	33	4 4 0
44.63	2.031	25	4 2 1
44.76	2.025	21	6 2 -1

---

This entry pairs a crystal structure of La2Sn3Au6 with its computed powder diffraction line list. Radiation: Cu Kα. Structure: a crystal structure in Alexandria, relaxed with GGA-PBE.

Cell and atoms:
Cell lengths 9.5424, 13.8003, 4.0884 Å; angles 90.00, 90.00, 90.00 degrees
Space group Cmmm (No. 65)
Asymmetric unit:
La: 0.2122 0.0000 0.0000 x4
Sn: 0.0000 0.2549 0.0000 x4
Sn: 0.0000 0.5000 0.5000 x2
Au: 0.0000 0.1069 0.5000 x4
Au: 0.1942 0.3407 0.5000 x8

Principal peaks in the range 2θ = 10–90°, low angle first:
2θ/deg	d [Å]	I (rel.)	hkl
21.74	4.088	43	0 0 1
31.60	2.831	100	2 2 1
34.00	2.637	73	0 4 1
34.27	2.616	57	3 3 0
36.37	2.470	43	3 1 1
40.55	2.225	21	1 5 1
40.95	2.204	37	3 3 1
43.69	2.072	33	2 6 0
44.31	2.044	37	0 0 2
57.19	1.611	27	3 3 2

---

This entry pairs a crystal structure of La3Sn3Au with its computed powder diffraction line list. Radiation: Cu Kα. Structure: a crystal structure in Alexandria, relaxed with GGA-PBE.

Cell and atoms:
Cell lengths 11.7939, 4.7630, 15.6052 Å; angles 90.00, 109.79, 90.00 degrees
Space group C2/m (No. 12)
Asymmetric unit:
La: 0.0313 0.0000 0.3825 x4
La: 0.0996 0.0000 0.9229 x4
La: 0.2388 0.0000 0.2301 x4
Sn: 0.0228 0.5000 0.2314 x4
Sn: 0.1233 0.5000 0.0758 x4
Sn: 0.1398 0.5000 0.5427 x4
Au: 0.2365 0.5000 0.3878 x4

Principal peaks in the range 2θ = 10–90°, low angle first:
2θ/deg	d [Å]	I (rel.)	hkl
29.14	3.065	82	1 1 3
29.58	3.020	91	1 1 -4
30.36	2.944	42	4 0 -2
33.72	2.658	46	3 1 -4
36.00	2.495	100	3 1 2
36.24	2.479	26	4 0 -5
36.72	2.447	25	0 0 6
37.78	2.381	67	0 2 0
58.08	1.588	30	7 1 -3
67.06	1.396	24	3 3 2

---

This entry pairs a crystal structure of LaSn3Au3 with its computed powder diffraction line list. Radiation: Cu Kα. Structure: a crystal structure in Alexandria, relaxed with GGA-PBE.

Cell and atoms:
Cell lengths 8.5164, 8.5164, 18.2114 Å; angles 90.00, 90.00, 120.00 degrees
Space group R-3 (No. 148, hexagonal axes)
Asymmetric unit:
La: 0.0000 0.0000 0.1668 x6
Sn: 0.0013 0.3101 0.5928 x18
Au: 0.0017 0.3470 0.4159 x18

Principal peaks in the range 2θ = 10–90°, low angle first:
2θ/deg	d [Å]	I (rel.)	hkl
20.86	4.258	40	1 1 0
25.55	3.486	32	1 1 3
29.43	3.035	33	0 0 6
36.35	2.472	66	1 1 6
36.55	2.458	100	3 0 0
47.60	1.910	50	3 0 6
52.50	1.743	22	4 -2 6
65.66	1.422	21	4 1 6
65.80	1.419	17	3 3 0
73.31	1.291	23	3 0 12

---

This entry pairs a crystal structure of La4SnAu2 with its computed powder diffraction line list. Radiation: Cu Kα. Structure: a crystal structure in Alexandria, relaxed with GGA-PBE.

Cell and atoms:
Cell lengths 6.0420, 6.0420, 14.7906 Å; angles 90.00, 90.00, 90.00 degrees
Space group I4/mmm (No. 139)
Asymmetric unit:
La: 0.0000 0.0000 0.2089 x4
La: 0.0000 0.5000 0.0000 x4
Sn: 0.0000 0.0000 0.0000 x2
Au: 0.0000 0.0000 0.4048 x4

Principal peaks in the range 2θ = 10–90°, low angle first:
2θ/deg	d [Å]	I (rel.)	hkl
11.97	7.395	32	0 0 2
20.79	4.272	55	1 1 0
24.06	3.699	23	1 1 2
29.57	3.021	100	2 0 0
32.01	2.796	26	2 0 2
33.74	2.657	80	1 0 5
42.32	2.136	56	2 2 0
45.46	1.995	67	2 1 5
61.39	1.510	25	4 0 0
63.84	1.458	25	3 2 5

---

This entry pairs a crystal structure of La3Sn2Au6 with its computed powder diffraction line list. Radiation: Cu Kα. Structure: a crystal structure in Alexandria, relaxed with GGA-PBE.

Cell and atoms:
Cell lengths 4.1741, 4.1741, 32.4506 Å; angles 90.00, 90.00, 90.00 degrees
Space group I4/mmm (No. 139)
Asymmetric unit:
La: 0.0000 0.0000 0.0000 x2
La: 0.0000 0.0000 0.1798 x4
Sn: 0.0000 0.0000 0.3679 x4
Au: 0.0000 0.0000 0.2746 x4
Au: 0.0000 0.5000 0.0724 x8

Principal peaks in the range 2θ = 10–90°, low angle first:
2θ/deg	d [Å]	I (rel.)	hkl
16.39	5.408	34	0 0 6
30.79	2.904	100	1 1 2
32.82	2.729	30	1 0 9
34.62	2.591	75	1 1 6
37.33	2.409	76	1 0 11
37.69	2.387	61	1 1 8
43.35	2.087	79	2 0 0
58.51	1.577	41	2 1 11
71.50	1.319	30	1 1 22
73.96	1.282	36	2 0 20

---

This entry pairs a crystal structure of La2ZnSnAu6 with its computed powder diffraction line list. Radiation: Cu Kα. Structure: a crystal structure in Alexandria, relaxed with GGA-PBE.

Cell and atoms:
Cell lengths 12.9392, 5.4936, 9.1110 Å; angles 90.00, 133.37, 90.00 degrees
Space group C2/m (No. 12)
Asymmetric unit:
La: 0.0147 0.0000 0.2624 x4
Zn: 0.0000 0.5000 0.5000 x2
Sn: 0.0000 0.5000 0.0000 x2
Au: 0.1651 0.5000 0.9038 x4
Au: 0.2370 0.2498 0.6964 x8

Principal peaks in the range 2θ = 10–90°, low angle first:
2θ/deg	d [Å]	I (rel.)	hkl
18.87	4.703	39	2 0 0
26.95	3.309	43	0 0 2
30.73	2.910	33	2 0 -3
31.17	2.869	37	4 0 -3
37.93	2.372	62	2 2 0
38.15	2.359	39	1 1 2
38.27	2.352	100	2 2 -2
38.89	2.316	37	5 1 -2
39.58	2.277	39	4 0 -4
43.22	2.093	36	4 2 -2

---

This entry pairs a crystal structure of LaZn2SnAu5 with its computed powder diffraction line list. Radiation: Cu Kα. Structure: a crystal structure in Alexandria, relaxed with GGA-PBE.

Cell and atoms:
Cell lengths 4.9684, 4.9684, 7.7540 Å; angles 90.00, 90.00, 90.00 degrees
Space group P4/mmm (No. 123)
Asymmetric unit:
La: 0.0000 0.0000 0.0000 x1
Zn: 0.5000 0.5000 0.3430 x2
Sn: 0.0000 0.0000 0.5000 x1
Au: 0.0000 0.5000 0.2514 x4
Au: 0.5000 0.5000 0.0000 x1

Principal peaks in the range 2θ = 10–90°, low angle first:
2θ/deg	d [Å]	I (rel.)	hkl
34.45	2.603	100	1 1 2
36.16	2.484	60	2 0 0
46.87	1.939	10	0 0 4
52.06	1.757	21	2 2 0
60.59	1.528	19	2 0 4
63.93	1.456	34	3 1 2
72.63	1.302	11	2 2 4
78.93	1.213	13	1 1 6
86.89	1.121	8	3 3 2
87.88	1.111	10	4 2 0

---

This entry pairs a crystal structure of SrLaAu4 with its computed powder diffraction line list. Radiation: Cu Kα. Structure: a crystal structure in Alexandria, relaxed with GGA-PBE.

Cell and atoms:
Cell lengths 4.7018, 7.6738, 8.4739 Å; angles 90.00, 90.00, 90.00 degrees
Space group Immm (No. 71)
Asymmetric unit:
Sr: 0.0000 0.0000 0.0000 x2
La: 0.0000 0.5000 0.0000 x2
Au: 0.0000 0.2292 0.3354 x8

Principal peaks in the range 2θ = 10–90°, low angle first:
2θ/deg	d [Å]	I (rel.)	hkl
23.18	3.837	42	0 2 0
31.46	2.844	48	0 2 2
31.90	2.805	100	1 2 1
37.13	2.421	91	1 0 3
38.29	2.351	42	2 0 0
44.23	2.048	32	1 2 3
47.39	1.918	18	0 4 0
49.13	1.855	16	0 2 4
50.36	1.812	26	2 2 2
61.69	1.504	34	1 4 3

---

This entry pairs a crystal structure of SrLaAu10 with its computed powder diffraction line list. Radiation: Cu Kα. Structure: a crystal structure in Alexandria, relaxed with GGA-PBE.

Cell and atoms:
Cell lengths 4.7276, 5.6431, 9.8182 Å; angles 90.00, 90.00, 90.00 degrees
Space group Pmmm (No. 47)
Asymmetric unit:
Sr: 0.0000 0.0000 0.0000 x1
La: 0.0000 0.5000 0.5000 x1
Au: 0.0000 0.0000 0.3366 x2
Au: 0.0000 0.5000 0.1688 x2
Au: 0.5000 0.0000 0.5000 x1
Au: 0.5000 0.2520 0.2530 x4
Au: 0.5000 0.5000 0.0000 x1

Principal peaks in the range 2θ = 10–90°, low angle first:
2θ/deg	d [Å]	I (rel.)	hkl
18.11	4.898	45	0 1 1
36.74	2.446	18	0 2 2
37.04	2.427	100	1 2 0
38.07	2.364	38	2 0 0
41.45	2.178	23	1 0 4
41.57	2.173	45	1 2 2
53.91	1.701	18	2 2 2
60.01	1.542	17	1 3 3
68.12	1.377	17	3 2 0
78.81	1.214	19	2 2 6

---

This entry pairs a crystal structure of SrLa4Au with its computed powder diffraction line list. Radiation: Cu Kα. Structure: a crystal structure in Alexandria, relaxed with GGA-PBE.

Cell and atoms:
Cell lengths 9.4165, 9.4165, 9.4165 Å; angles 90.00, 90.00, 90.00 degrees
Space group F-43m (No. 216)
Asymmetric unit:
Sr: 0.0000 0.0000 0.0000 x4
La: 0.1211 0.1211 0.3789 x16
Au: 0.2500 0.2500 0.7500 x4

Principal peaks in the range 2θ = 10–90°, low angle first:
2θ/deg	d [Å]	I (rel.)	hkl
16.30	5.437	10	1 1 1
26.78	3.329	27	2 2 0
31.51	2.839	100	3 1 1
32.95	2.718	39	2 2 2
47.29	1.922	12	4 2 2
50.35	1.812	36	3 3 3
55.18	1.665	30	4 4 0
64.94	1.436	12	5 3 3
65.78	1.420	16	6 2 2
77.93	1.226	23	7 3 1

---

This entry pairs a crystal structure of LaTaAu2 with its computed powder diffraction line list. Radiation: Cu Kα. Structure: a crystal structure in Alexandria, relaxed with GGA-PBE.

Cell and atoms:
Cell lengths 3.1390, 3.1390, 8.5330 Å; angles 90.00, 90.00, 90.00 degrees
Space group P4/mmm (No. 123)
Asymmetric unit:
La: 0.0000 0.0000 0.0000 x1
Ta: 0.0000 0.0000 0.5000 x1
Au: 0.5000 0.5000 0.2835 x2

Principal peaks in the range 2θ = 10–90°, low angle first:
2θ/deg	d [Å]	I (rel.)	hkl
10.37	8.533	14	0 0 1
35.50	2.528	100	1 0 2
40.65	2.220	38	1 1 0
42.37	2.133	11	0 0 4
42.91	2.108	10	1 0 3
58.84	1.570	13	2 0 0
60.16	1.538	16	1 1 4
70.64	1.333	27	2 1 2
73.04	1.295	5	1 0 6
75.15	1.264	8	2 0 4

---

This entry pairs a crystal structure of La2TaAu with its computed powder diffraction line list. Radiation: Cu Kα. Structure: a crystal structure in Alexandria, relaxed with GGA-PBE.

Cell and atoms:
Cell lengths 3.3635, 3.3635, 9.4743 Å; angles 90.00, 90.00, 90.00 degrees
Space group P4mm (No. 99)
Asymmetric unit:
La: 0.0000 0.0000 0.0000 x1
La: 0.5000 0.5000 0.3625 x1
Ta: 0.0000 0.0000 0.6006 x1
Au: 0.5000 0.5000 0.7593 x1

Principal peaks in the range 2θ = 10–90°, low angle first:
2θ/deg	d [Å]	I (rel.)	hkl
28.26	3.158	11	0 0 3
32.65	2.743	100	1 0 2
37.83	2.378	52	1 1 0
39.11	2.303	56	1 0 3
47.88	1.900	11	1 1 3
54.57	1.682	18	2 0 0
55.68	1.651	12	1 0 5
62.69	1.482	16	1 1 5
65.06	1.434	28	2 1 2
69.18	1.358	17	2 1 3

---

This entry pairs a crystal structure of LaTbAu with its computed powder diffraction line list. Radiation: Cu Kα. Structure: a crystal structure in Alexandria, relaxed with GGA-PBE.

Cell and atoms:
Cell lengths 4.9257, 4.9257, 7.4032 Å; angles 90.00, 90.00, 90.00 degrees
Space group P4/nmm (No. 129, origin choice 2)
Asymmetric unit:
La: 0.2500 0.2500 0.1192 x2
Tb: 0.2500 0.7500 0.5000 x2
Au: 0.2500 0.2500 0.7221 x2

Principal peaks in the range 2θ = 10–90°, low angle first:
2θ/deg	d [Å]	I (rel.)	hkl
25.58	3.483	31	1 1 0
28.32	3.152	77	1 1 1
30.20	2.959	55	1 0 2
35.39	2.537	96	1 1 2
36.48	2.463	100	2 0 0
40.90	2.206	45	1 0 3
48.06	1.893	30	2 1 2
52.54	1.742	40	2 2 0
55.95	1.643	36	2 1 3
64.95	1.436	33	3 1 2